(1)
For Cs2SnAu2S4, DFT lattice parameters and positions (GGA-PBE) gives the theoretical X-ray powder pattern in this record (λ = 1.5418 Å (Cu Kα)).

Peak list (10 most intense, 10 to 90 degrees two-theta, in order of falling intensity)
| two_theta | intensity |
| --- | --- |
| 28.88 | 100 |
| 31.13 | 75 |
| 13.85 | 71 |
| 24.16 | 57 |
| 23.20 | 43 |
| 25.30 | 39 |
| 27.74 | 38 |
| 47.09 | 33 |
| 42.17 | 29 |
| 45.32 | 24 |

Crystal structure
```
Cs2SnAu2S4
1.0
0.0000 7.3676 12.8658
3.1202 0.0000 12.8658
3.1202 7.3676 0.0000
Cs Sn Au S
4 2 4 8
Direct
0.0542 0.0542 0.6958
0.3042 0.3042 0.9458
0.6958 0.6958 0.0542
0.9458 0.9458 0.3042
0.1250 0.1250 0.1250
0.8750 0.8750 0.8750
0.3132 0.3132 0.4368
0.4368 0.4368 0.3132
0.5632 0.5632 0.6868
0.6868 0.6868 0.5632
0.0724 0.2926 0.3756
0.2406 0.6244 0.7074
0.2926 0.0724 0.7594
0.3756 0.7594 0.0724
0.6244 0.2406 0.9276
0.7074 0.9276 0.2406
0.7594 0.3756 0.2926
0.9276 0.7074 0.6244
```

=====

(2)
For Cs2ThAuS4, DFT lattice parameters and positions (GGA-PBE) gives the theoretical X-ray powder pattern in this record (λ = 1.5418 Å (Cu Kα)).

Peak list (10 most intense, 10 to 90 degrees two-theta, in order of falling intensity)
| two_theta | intensity |
| --- | --- |
| 25.70 | 100 |
| 41.51 | 57 |
| 22.50 | 51 |
| 32.03 | 32 |
| 47.13 | 22 |
| 15.04 | 17 |
| 51.73 | 16 |
| 63.62 | 16 |
| 53.38 | 13 |
| 52.82 | 13 |

Crystal structure
```
Cs2ThAuS4
1.0
-3.9513 3.9513 4.4190
3.9513 -3.9513 4.4190
3.9513 3.9513 -4.4190
Cs Th Au S
2 1 1 4
Direct
0.0000 0.0000 0.0000
0.7500 0.2500 0.5000
0.5000 0.5000 0.0000
0.2500 0.7500 0.5000
0.1867 0.0967 0.6108
0.4241 0.8133 0.9101
0.4860 0.5759 0.3892
0.9033 0.5140 0.0899
```

=====

(3)
For CsTl2AuS, DFT lattice parameters and positions (GGA-PBE) gives the theoretical X-ray powder pattern in this record (λ = 1.5418 Å (Cu Kα)).

Peak list (10 most intense, 10 to 90 degrees two-theta, in order of falling intensity)
| two_theta | intensity |
| --- | --- |
| 26.64 | 100 |
| 34.00 | 75 |
| 12.39 | 74 |
| 36.44 | 36 |
| 38.51 | 32 |
| 26.01 | 31 |
| 27.64 | 30 |
| 41.06 | 28 |
| 45.69 | 22 |
| 32.10 | 22 |

Crystal structure
```
CsTl2AuS
1.0
2.4657 -7.1463 0.0000
2.4657 7.1463 0.0000
0.0000 0.0000 9.5936
Cs Tl Au S
2 4 2 2
Direct
0.0535 0.9465 0.7500
0.9465 0.0535 0.2500
0.3187 0.6813 0.5666
0.3187 0.6813 0.9334
0.6813 0.3187 0.0666
0.6813 0.3187 0.4334
0.2232 0.7768 0.2500
0.7768 0.2232 0.7500
0.5000 0.5000 0.0000
0.5000 0.5000 0.5000
```

=====

Number 2 is which compound?
Cs2ThAuS4